Theoretical powder XRD pattern of Pm6Pt3Rh for Cu Kα, from a DFT-relaxed cell (GGA-PBE, Alexandria).

Atomic structure:
```
data_Pm6Pt3Rh
_chemical_formula_sum 'Pm12 Pt6 Rh2'
_symmetry_space_group_name_H-M 'P 1 21/c 1'
_symmetry_Int_Tables_number 14
_cell_length_a 6.9511
_cell_length_b 7.6180
_cell_length_c 12.6288
_cell_angle_alpha 90.00
_cell_angle_beta 123.01
_cell_angle_gamma 90.00
loop_
_symmetry_equiv_pos_as_xyz
'x,y,z'
'-x,-y,-z'
'-x,y+1/2,-z+1/2'
'x,-y+1/2,z+1/2'
loop_
_atom_site_label
_atom_site_type_symbol
_atom_site_fract_x
_atom_site_fract_y
_atom_site_fract_z
Pm1 Pm 0.0842 0.0561 0.2468
Pm2 Pm 0.2485 0.6811 0.0807
Pm3 Pm 0.4026 0.1757 0.0782
Pt1 Pt 0.3045 0.1117 0.7522
Pt2 Pt 0.5000 0.0000 0.5000
Rh1 Rh 0.0000 0.0000 0.0000
```

Largest 8 diffraction maxima, by angle, 10° ≤ 2θ ≤ 90°:
hkl 1 2 -2, 2θ 28.0, d 3.184, I 57
hkl 1 0 2, 2θ 28.3, d 3.158, I 100
hkl 2 1 -3, 2θ 29.5, d 3.025, I 85
hkl 1 1 -4, 2θ 30.8, d 2.902, I 60
hkl 1 2 1, 2θ 31.7, d 2.825, I 92
hkl 0 2 3, 2θ 34.6, d 2.589, I 60
hkl 1 3 -1, 2θ 37.7, d 2.385, I 78
hkl 0 2 4, 2θ 41.5, d 2.174, I 58